Record 1
Diffraction record for Ba2Cu2P2H. The powder XRD pattern is calculated, not measured: it uses a DFT-relaxed cell (GGA-PBE, Alexandria) and Cu Ka.
Kinematic intensities with the Lorentz-polarization factor, no thermal factor.

The 10 most intense peaks (2θ = 10–90°), by angle:
23.56 deg, d 3.777, I 63, hkl 1 1 0; 24.03 deg, d 3.703, I 32, hkl 2 0 -2; 30.00 deg, d 2.979, I 57, hkl 2 0 1; 30.61 deg, d 2.920, I 44, hkl 1 1 1; 31.98 deg, d 2.798, I 77, hkl 3 1 -1; 32.10 deg, d 2.789, I 54, hkl 4 0 -2; 33.27 deg, d 2.693, I 100, hkl 1 1 -2; 36.03 deg, d 2.493, I 68, hkl 3 1 0; 43.89 deg, d 2.063, I 43, hkl 0 2 0; 56.23 deg, d 1.636, I 35, hkl 1 1 3

Unit cell a=11.4704 b=4.1254 c=7.4363 alpha=90.00 beta=125.10 gamma=90.00
Space group C2/m (No. 12)
Inequivalent atoms, fractional coordinates:
Ba  0.0506  0.0000  0.3087 (multiplicity 4)
Cu  0.1921  0.5000  0.0837 (multiplicity 4)
P  0.2012  0.5000  0.7641 (multiplicity 4)
H  0.0000  0.5000  0.0000 (multiplicity 2)

=====

Record 2
Diffraction record for Ac2SmRh2I2. The powder XRD pattern is calculated, not measured: it uses a DFT-relaxed cell (GGA-PBE, Alexandria) and Cu Ka.
Kinematic intensities with the Lorentz-polarization factor, no thermal factor.

The 10 most intense peaks (2θ = 10–90°), by angle:
10.06 deg, d 8.797, I 37, hkl 0 0 2; 24.12 deg, d 3.689, I 53, hkl 1 1 0; 30.65 deg, d 2.917, I 100, hkl 1 0 5; 31.66 deg, d 2.826, I 26, hkl 1 1 4; 34.38 deg, d 2.609, I 61, hkl 2 0 0; 46.71 deg, d 1.945, I 63, hkl 2 1 5; 49.41 deg, d 1.845, I 22, hkl 2 2 0; 59.27 deg, d 1.559, I 17, hkl 3 0 5; 63.81 deg, d 1.459, I 17, hkl 2 0 10; 70.35 deg, d 1.338, I 19, hkl 3 2 5

Unit cell a=5.2171 b=5.2171 c=17.5935 alpha=90.00 beta=90.00 gamma=90.00
Space group I4/mmm (No. 139)
Inequivalent atoms, fractional coordinates:
Ac  0.0000  0.0000  0.1071 (multiplicity 4)
Sm  0.0000  0.0000  0.5000 (multiplicity 2)
Rh  0.0000  0.5000  0.0000 (multiplicity 4)
I  0.0000  0.0000  0.3087 (multiplicity 4)

=====

Record 3
Diffraction record for Pm9Tm4Al11. The powder XRD pattern is calculated, not measured: it uses a DFT-relaxed cell (GGA-PBE, Alexandria) and Cu Ka.
Kinematic intensities with the Lorentz-polarization factor, no thermal factor.

The 10 most intense peaks (2θ = 10–90°), by angle:
22.38 deg, d 3.972, I 48, hkl 4 0 0; 24.19 deg, d 3.679, I 68, hkl 0 6 0; 25.78 deg, d 3.456, I 94, hkl 0 0 1; 33.19 deg, d 2.699, I 100, hkl 4 6 0; 34.40 deg, d 2.607, I 84, hkl 4 0 1; 34.80 deg, d 2.578, I 51, hkl 5 5 0; 35.64 deg, d 2.519, I 89, hkl 0 6 1; 42.50 deg, d 2.127, I 56, hkl 4 6 1; 60.82 deg, d 1.523, I 39, hkl 5 11 1; 62.74 deg, d 1.481, I 37, hkl 9 5 1

Unit cell a=15.8876 b=22.0767 c=3.4555 alpha=90.00 beta=90.00 gamma=90.00
Space group Cmmm (No. 65)
Inequivalent atoms, fractional coordinates:
Pm  0.0000  0.0000  0.0000 (multiplicity 2)
Pm  0.1134  0.2325  0.0000 (multiplicity 8)
Pm  0.1155  0.4096  0.0000 (multiplicity 8)
Tm  0.1674  0.0860  0.0000 (multiplicity 8)
Al  0.0000  0.1245  0.5000 (multiplicity 4)
Al  0.0000  0.3209  0.5000 (multiplicity 4)
Al  0.0000  0.5000  0.5000 (multiplicity 2)
Al  0.2257  0.5000  0.5000 (multiplicity 4)
Al  0.2350  0.3171  0.5000 (multiplicity 8)

=====

Record 4
Diffraction record for Tb3GaCu3. The powder XRD pattern is calculated, not measured: it uses a DFT-relaxed cell (GGA-PBE, Alexandria) and Cu Ka.
Kinematic intensities with the Lorentz-polarization factor, no thermal factor.

The 10 most intense peaks (2θ = 10–90°), by angle:
25.91 deg, d 3.439, I 23, hkl 2 0 2; 32.39 deg, d 2.764, I 73, hkl 1 1 3; 32.66 deg, d 2.742, I 100, hkl 1 1 -4; 33.95 deg, d 2.641, I 53, hkl 3 1 -1; 34.06 deg, d 2.633, I 43, hkl 3 1 -2; 35.04 deg, d 2.561, I 46, hkl 4 0 -2; 37.99 deg, d 2.369, I 31, hkl 3 1 -4; 39.59 deg, d 2.277, I 38, hkl 0 0 6; 40.84 deg, d 2.210, I 87, hkl 3 1 2; 43.11 deg, d 2.098, I 60, hkl 0 2 0

Unit cell a=10.2481 b=4.1970 c=14.4904 alpha=90.00 beta=109.50 gamma=90.00
Space group C2/m (No. 12)
Inequivalent atoms, fractional coordinates:
Tb  0.0385  0.0000  0.3897 (multiplicity 4)
Tb  0.1031  0.0000  0.9207 (multiplicity 4)
Tb  0.2473  0.5000  0.7679 (multiplicity 4)
Ga  0.2469  0.5000  0.3938 (multiplicity 4)
Cu  0.0427  0.5000  0.2324 (multiplicity 4)
Cu  0.1044  0.5000  0.0775 (multiplicity 4)
Cu  0.1314  0.5000  0.5422 (multiplicity 4)

=====

Record 5
Diffraction record for CeNd2Zn2In2. The powder XRD pattern is calculated, not measured: it uses a DFT-relaxed cell (GGA-PBE, Alexandria) and Cu Ka.
Kinematic intensities with the Lorentz-polarization factor, no thermal factor.

The 10 most intense peaks (2θ = 10–90°), by angle:
21.63 deg, d 4.109, I 27, hkl 1 0 1; 31.14 deg, d 2.872, I 68, hkl 1 0 7; 33.61 deg, d 2.667, I 94, hkl 0 1 8; 37.49 deg, d 2.399, I 100, hkl 1 1 0; 49.51 deg, d 1.841, I 18, hkl 0 2 7; 51.22 deg, d 1.783, I 28, hkl 2 0 8; 63.39 deg, d 1.467, I 34, hkl 1 1 15; 63.72 deg, d 1.461, I 17, hkl 2 1 7; 65.18 deg, d 1.431, I 27, hkl 1 2 8; 67.65 deg, d 1.385, I 17, hkl 3 0 0

Unit cell a=4.7978 b=4.7978 c=27.8211 alpha=90.00 beta=90.00 gamma=120.00
Space group R-3m (No. 166, hexagonal axes)
Inequivalent atoms, fractional coordinates:
Ce  0.0000  0.0000  0.0000 (multiplicity 3)
Nd  0.0000  0.0000  0.1268 (multiplicity 6)
Zn  0.0000  0.0000  0.3937 (multiplicity 6)
In  0.0000  0.0000  0.2661 (multiplicity 6)